(1)
LiCoSnO4: simulated powder diffraction line list (Cu Ka), based on a PBE+U-relaxed structure.

Cell and atoms:
Cell: 5.9259 6.1616 6.1630 Å, 91.73 118.54 118.59°
Fractional positions:
Li 0.2483 0.3778 0.1236
Li 0.7517 0.6222 0.8764
Co 0.0000 0.0000 0.5000
Co 0.5000 0.0000 0.5000
Sn 0.0000 0.5000 0.5000
Sn 0.5000 0.0000 0.0000
O 0.0136 0.7639 0.7379
O 0.0467 0.7773 0.3006
O 0.4745 0.2008 0.7257
O 0.4798 0.7474 0.7495
O 0.5202 0.2526 0.2505
O 0.5255 0.7992 0.2743
O 0.9533 0.2227 0.6994
O 0.9864 0.2361 0.2621

Top 8 peaks for 10° ≤ 2θ ≤ 90°, in order of rising 2θ:
d/Å	I/Imax
5.099	35.2
4.923	100.0
2.640	41.4
2.630	21.2
2.462	16.2
2.211	24.0
2.154	21.7
2.143	21.3

=====

(2)
Ta2CrNO5: simulated powder diffraction line list (Cu Ka), based on a PBE+U-relaxed structure.

Cell and atoms:
Cell: 4.7726 4.7726 9.2177 Å, 90.27 90.27 89.76°
Fractional positions:
Ta 0.0084 0.0084 0.3262
Ta 0.4856 0.4856 0.1687
Ta 0.5144 0.5144 0.8313
Ta 0.9916 0.9916 0.6738
Cr 0.0000 0.0000 0.0000
Cr 0.5000 0.5000 0.5000
N 0.1988 0.1988 0.1692
N 0.8012 0.8012 0.8308
O 0.1949 0.1949 0.4979
O 0.1961 0.1961 0.8292
O 0.3008 0.6927 0.6675
O 0.3073 0.6992 0.3325
O 0.3079 0.6921 0.0000
O 0.6921 0.3079 0.0000
O 0.6927 0.3008 0.6675
O 0.6992 0.3073 0.3325
O 0.8039 0.8039 0.1708
O 0.8051 0.8051 0.5021

Top 8 peaks for 10° ≤ 2θ ≤ 90°, in order of rising 2θ:
d/Å	I/Imax
4.235	52.3
3.382	100.0
3.368	98.6
2.589	77.9
2.578	77.4
2.386	48.9
1.751	63.1
1.749	32.1

=====

(3)
Ba6Na2Cr2Ru2O17: simulated powder diffraction line list (Cu Ka), based on a PBE+U-relaxed structure.

Cell and atoms:
Cell: 5.9246 5.9246 30.1906 Å, 90.00 90.00 120.00°
Fractional positions:
Ba 0.0000 0.0000 0.0000
Ba 0.0000 0.0000 0.2500
Ba 0.0000 0.0000 0.5000
Ba 0.0000 0.0000 0.7500
Ba 0.3333 0.6667 0.0921
Ba 0.3333 0.6667 0.4079
Ba 0.3333 0.6667 0.6804
Ba 0.3333 0.6667 0.8196
Ba 0.6667 0.3333 0.1804
Ba 0.6667 0.3333 0.3196
Ba 0.6667 0.3333 0.5921
Ba 0.6667 0.3333 0.9079
Na 0.0000 0.0000 0.1241
Na 0.0000 0.0000 0.3759
Na 0.0000 0.0000 0.6241
Na 0.0000 0.0000 0.8759
Cr 0.3333 0.6667 0.5520
Cr 0.3333 0.6667 0.9480
Cr 0.6667 0.3333 0.0520
Cr 0.6667 0.3333 0.4480
Ru 0.3333 0.6667 0.2038
Ru 0.3333 0.6667 0.2962
Ru 0.6667 0.3333 0.7038
Ru 0.6667 0.3333 0.7962
O 0.0276 0.5138 0.2500
O 0.1754 0.3508 0.5728
O 0.1754 0.3508 0.9272
O 0.1754 0.8246 0.5728
O 0.1754 0.8246 0.9272
O 0.1767 0.3534 0.1702
O 0.1767 0.3534 0.3298
O 0.1767 0.8233 0.1702
O 0.1767 0.8233 0.3298
O 0.3333 0.6667 0.0046
O 0.3333 0.6667 0.4954
O 0.3508 0.1754 0.0728
O 0.3508 0.1754 0.4272
O 0.3534 0.1767 0.6702
O 0.3534 0.1767 0.8298
O 0.4862 0.5138 0.2500
O 0.4862 0.9724 0.2500
O 0.5138 0.0276 0.7500
O 0.5138 0.4862 0.7500
O 0.6466 0.8233 0.1702
O 0.6466 0.8233 0.3298
O 0.6492 0.8246 0.5728
O 0.6492 0.8246 0.9272
O 0.6667 0.3333 0.5046
O 0.6667 0.3333 0.9954
O 0.8233 0.1767 0.6702
O 0.8233 0.1767 0.8298
O 0.8233 0.6466 0.6702
O 0.8233 0.6466 0.8298
O 0.8246 0.1754 0.0728
O 0.8246 0.1754 0.4272
O 0.8246 0.6492 0.0728
O 0.8246 0.6492 0.4272
O 0.9724 0.4862 0.7500

Top 8 peaks for 10° ≤ 2θ ≤ 90°, in order of rising 2θ:
d/Å	I/Imax
4.243	20.6
3.301	28.7
3.040	46.3
2.962	100.0
2.122	27.6
1.725	15.9
1.710	19.3
1.481	18.1

=====

Q: Which formula does entry 2 have?
A: Ta2CrNO5